Structure and theoretical X-ray diffraction stick pattern of Tb2HfS5 (a crystal structure in Alexandria, relaxed with PBE; Cu Kα (λ = 1.5418 Å)).

Atomic structure:
```
Tb2HfS5
1.0
2.5956 -6.6056 0.0000
2.5956 6.6056 0.0000
0.0000 0.0000 12.7755
Tb Hf S
4 2 10
direct
0.1449 0.8551 0.5619
0.1449 0.8551 0.9381
0.8551 0.1449 0.0619
0.8551 0.1449 0.4381
0.1894 0.8106 0.2500
0.8106 0.1894 0.7500
0.0488 0.9512 0.1231
0.0488 0.9512 0.3769
0.2660 0.7340 0.7500
0.3060 0.6940 0.0855
0.3060 0.6940 0.4145
0.6940 0.3060 0.5855
0.6940 0.3060 0.9145
0.7340 0.2660 0.2500
0.9512 0.0488 0.6231
0.9512 0.0488 0.8769
```

Most intense lines, 2θ = 10–90°, by angle:
2theta  I/Imax
13.40  634
18.36  1000
24.88  977
26.54  519
27.93  659
34.36  454
34.56  501
43.05  453
43.94  394
49.53  313